No. 1
The following is a theoretical powder XRD pattern of Tb5Ho12Tm2. It was derived from a crystal structure in Alexandria, relaxed with GGA-PBE, using CuKα.
Kinematic intensities with the Lorentz-polarization factor, no thermal factor.

Crystal structure
```
Tb5Ho12Tm2
1.0
7.7007 -4.5870 0.0000
7.7007 4.5870 0.0000
-0.3168 0.0000 8.5207
Tb Ho Tm
5 12 2
Direct
0.0000 0.0000 0.0000 Tb
0.2308 0.2308 0.0710 Tb
0.2939 0.2939 0.4781 Tb
0.7061 0.7061 0.5219 Tb
0.7692 0.7692 0.9290 Tb
0.0313 0.6715 0.2608 Ho
0.0740 0.0740 0.3739 Ho
0.1782 0.5621 0.8286 Ho
0.3285 0.9687 0.7392 Ho
0.4379 0.8218 0.1714 Ho
0.4431 0.4431 0.1633 Ho
0.5569 0.5569 0.8367 Ho
0.5621 0.1782 0.8286 Ho
0.6715 0.0313 0.2608 Ho
0.8218 0.4379 0.1714 Ho
0.9260 0.9260 0.6261 Ho
0.9687 0.3285 0.7392 Ho
0.3277 0.6723 0.5000 Tm
0.6723 0.3277 0.5000 Tm
```

Main lines, sorted by position (15 to 90 degrees two-theta):
2θ 30.6, d = 2.920 Å, I 65
2θ 31.7, d = 2.823 Å, I 53
2θ 31.9, d = 2.805 Å, I 87
2θ 32.1, d = 2.791 Å, I 100
2θ 33.3, d = 2.688 Å, I 76
2θ 36.0, d = 2.497 Å, I 53

---

No. 2
The following is a theoretical powder XRD pattern of Tm4OsO10. It was derived from a crystal structure in Alexandria, relaxed with GGA-PBE, using CuKα.
Kinematic intensities with the Lorentz-polarization factor, no thermal factor.

Crystal structure
```
Tm4OsO10
1.0
-4.1289 4.1289 2.6139
4.1289 -4.1289 2.6139
4.1289 4.1289 -2.6139
Tm Os O
4 1 10
Direct
0.0974 0.3031 0.4005 Tm
0.3031 0.9026 0.2057 Tm
0.6969 0.0974 0.7943 Tm
0.9026 0.6969 0.5995 Tm
0.5000 0.5000 0.0000 Os
0.0890 0.1739 0.7214 O
0.1739 0.4526 0.0849 O
0.2500 0.7500 0.5000 O
0.3677 0.0890 0.9151 O
0.4526 0.3677 0.2786 O
0.5474 0.6323 0.7214 O
0.6323 0.9110 0.0849 O
0.7500 0.2500 0.5000 O
0.8261 0.5474 0.9151 O
0.9110 0.8261 0.2786 O
```

Main lines, sorted by position (15 to 90 degrees two-theta):
2θ 29.6, d = 3.016 Å, I 100
2θ 34.3, d = 2.612 Å, I 33
2θ 49.3, d = 1.847 Å, I 50
2θ 58.6, d = 1.575 Å, I 44
2θ 80.1, d = 1.199 Å, I 18
2θ 82.6, d = 1.168 Å, I 13

---

No. 3
The following is a theoretical powder XRD pattern of Hf10CuSn7. It was derived from a crystal structure in Alexandria, relaxed with GGA-PBE, using CuKα.
Kinematic intensities with the Lorentz-polarization factor, no thermal factor.

Crystal structure
```
Hf10CuSn7
1.0
8.6765 0.0000 0.0000
-4.3383 7.5141 0.0000
0.0000 0.0000 5.8681
Hf Cu Sn
10 1 7
Direct
0.0000 0.2730 0.2639 Hf
0.0000 0.7270 0.7361 Hf
0.2730 0.0000 0.2639 Hf
0.2730 0.2730 0.7361 Hf
0.3333 0.6667 0.0000 Hf
0.3333 0.6667 0.5000 Hf
0.6667 0.3333 0.0000 Hf
0.6667 0.3333 0.5000 Hf
0.7270 0.0000 0.7361 Hf
0.7270 0.7270 0.2639 Hf
0.0000 0.0000 0.5000 Cu
0.0000 0.0000 0.0000 Sn
0.0000 0.3861 0.7558 Sn
0.0000 0.6139 0.2442 Sn
0.3861 0.0000 0.7558 Sn
0.3861 0.3861 0.2442 Sn
0.6139 0.0000 0.2442 Sn
0.6139 0.6139 0.7558 Sn
```

Main lines, sorted by position (15 to 90 degrees two-theta):
2θ 35.1, d = 2.556 Å, I 60
2θ 35.9, d = 2.505 Å, I 82
2θ 37.0, d = 2.430 Å, I 100
2θ 52.5, d = 1.744 Å, I 28
2θ 65.2, d = 1.431 Å, I 16
2θ 75.0, d = 1.266 Å, I 19

---

Repeat the second record exactly.
The following is a theoretical powder XRD pattern of Tm4OsO10. It was derived from a crystal structure in Alexandria, relaxed with GGA-PBE, using CuKα.
Kinematic intensities with the Lorentz-polarization factor, no thermal factor.

Crystal structure
```
Tm4OsO10
1.0
-4.1289 4.1289 2.6139
4.1289 -4.1289 2.6139
4.1289 4.1289 -2.6139
Tm Os O
4 1 10
Direct
0.0974 0.3031 0.4005 Tm
0.3031 0.9026 0.2057 Tm
0.6969 0.0974 0.7943 Tm
0.9026 0.6969 0.5995 Tm
0.5000 0.5000 0.0000 Os
0.0890 0.1739 0.7214 O
0.1739 0.4526 0.0849 O
0.2500 0.7500 0.5000 O
0.3677 0.0890 0.9151 O
0.4526 0.3677 0.2786 O
0.5474 0.6323 0.7214 O
0.6323 0.9110 0.0849 O
0.7500 0.2500 0.5000 O
0.8261 0.5474 0.9151 O
0.9110 0.8261 0.2786 O
```

Main lines, sorted by position (15 to 90 degrees two-theta):
2θ 29.6, d = 3.016 Å, I 100
2θ 34.3, d = 2.612 Å, I 33
2θ 49.3, d = 1.847 Å, I 50
2θ 58.6, d = 1.575 Å, I 44
2θ 80.1, d = 1.199 Å, I 18
2θ 82.6, d = 1.168 Å, I 13

---

Which formula does entry 2 have? Tm4OsO10